No. 1
This entry pairs a crystal structure of La7HoEr3 with its calculated PXRD pattern. Radiation: Cu Kα. Structure: a DFT-relaxed cell (GGA-PBE, Alexandria).
Neutral-atom scattering factors, no anomalous dispersion.

Top 10 peaks for 2θ from 10° to 90°, sorted by position:
d_spacing	I (rel.)
3.667	16
3.000	65
2.906	34
2.838	21
2.824	66
2.804	100
2.087	26
2.062	17
1.692	22
1.540	16

Crystal structure
abc: 8.6602 8.6602 8.6602
angles: 139.47 98.09 95.70
Fractional positions:
La1 0.0000 0.0000 0.0000
La2 0.0946 0.7868 0.3078
La3 0.2913 0.5000 0.7913
La4 0.4789 0.7868 0.6922
La5 0.5211 0.2132 0.3078
La6 0.7087 0.5000 0.2087
La7 0.9054 0.2132 0.6922
Ho1 0.0000 0.5000 0.5000
Er1 0.2945 0.2945 0.0000
Er2 0.5000 0.0000 0.5000
Er3 0.7055 0.7055 0.0000

---

No. 2
This entry pairs a crystal structure of La5Ho3Er with its calculated PXRD pattern. Radiation: Cu Kα. Structure: a DFT-relaxed cell (GGA-PBE, Alexandria).
Neutral-atom scattering factors, no anomalous dispersion.

Top 10 peaks for 2θ from 10° to 90°, sorted by position:
d_spacing	I (rel.)
2.911	100
2.899	49
2.887	47
2.861	91
2.054	17
2.047	18
2.026	15
1.781	15
1.671	17
1.511	14

Crystal structure
abc: 9.1301 9.1301 9.2226
angles: 113.76 113.76 65.31
Fractional positions:
La1 0.0511 0.9489 0.7500
La2 0.0998 0.2407 0.1043
La3 0.2344 0.4398 0.9337
La4 0.2407 0.0998 0.6043
La5 0.4398 0.2344 0.4337
La6 0.5602 0.7656 0.5663
La7 0.7593 0.9002 0.3957
La8 0.7656 0.5602 0.0663
La9 0.9002 0.7593 0.8957
La10 0.9489 0.0511 0.2500
Ho1 0.0000 0.5000 0.5000
Ho2 0.1860 0.6491 0.3439
Ho3 0.3509 0.8140 0.1561
Ho4 0.5000 0.0000 0.0000
Ho5 0.6491 0.1860 0.8439
Ho6 0.8140 0.3509 0.6561
Er1 0.4036 0.5964 0.7500
Er2 0.5964 0.4036 0.2500

---

No. 3
This entry pairs a crystal structure of La2Ho2Er5 with its calculated PXRD pattern. Radiation: Cu Kα. Structure: a DFT-relaxed cell (GGA-PBE, Alexandria).
Neutral-atom scattering factors, no anomalous dispersion.

Top 10 peaks for 2θ from 10° to 90°, sorted by position:
d_spacing	I (rel.)
3.142	80
2.959	100
2.922	77
2.891	63
2.720	68
2.709	50
2.513	54
2.378	40
2.274	27
1.571	25

Crystal structure
abc: 10.0924 10.0924 10.0924
angles: 84.80 108.19 141.11
Fractional positions:
La1 0.0007 0.1271 0.1278
La2 0.0007 0.3729 0.3736
La3 0.9993 0.6271 0.6264
La4 0.9993 0.8729 0.8722
Ho1 0.4569 0.4569 0.0000
Ho2 0.4569 0.9569 0.5000
Ho3 0.5337 0.2943 0.7394
Ho4 0.5549 0.7943 0.2606
Er1 0.0892 0.1794 0.6237
Er2 0.0892 0.9655 0.4098
Er3 0.0941 0.6005 0.9936
Er4 0.3965 0.0890 0.2020
Er5 0.3965 0.6945 0.8076
Er6 0.5557 0.4655 0.3763
Er7 0.5557 0.6794 0.5902
Er8 0.6068 0.1005 0.0064
Er9 0.8870 0.1945 0.7980
Er10 0.8870 0.5890 0.1924

---

No. 4
This entry pairs a crystal structure of La3HoEr6 with its calculated PXRD pattern. Radiation: Cu Kα. Structure: a DFT-relaxed cell (GGA-PBE, Alexandria).
Neutral-atom scattering factors, no anomalous dispersion.

Top 10 peaks for 2θ from 10° to 90°, sorted by position:
d_spacing	I (rel.)
3.185	20
3.131	84
2.991	29
2.842	65
2.833	100
2.736	27
2.649	34
2.630	69
1.814	24
1.585	18

Crystal structure
abc: 11.0009 11.0009 6.3001
angles: 90.00 90.00 119.72
Fractional positions:
La1 0.1109 0.8891 0.5000
La2 0.2146 0.4400 0.0996
La3 0.4400 0.2146 0.5996
La4 0.5600 0.7854 0.0996
La5 0.7854 0.5600 0.5996
La6 0.8891 0.1109 0.0000
Ho1 0.3018 0.6982 0.4375
Ho2 0.6982 0.3018 0.9375
Er1 0.0331 0.4553 0.6947
Er2 0.1195 0.2142 0.5217
Er3 0.2142 0.1195 0.0217
Er4 0.2241 0.7759 0.9256
Er5 0.4553 0.0331 0.1947
Er6 0.4597 0.5403 0.6773
Er7 0.5403 0.4597 0.1773
Er8 0.5447 0.9669 0.6947
Er9 0.7759 0.2241 0.4256
Er10 0.7858 0.8805 0.5217
Er11 0.8805 0.7858 0.0217
Er12 0.9669 0.5447 0.1947